# 1
Diffraction record for Sm3Er8Th2. The XRD peak list is computed, not measured: it uses a crystal structure in Alexandria, relaxed with PBE and a wavelength of 1.5418 Å.
Neutral-atom scattering factors, no anomalous dispersion.

Structure:
```
26
Lattice="5.5979 -6.7275 0.0000 5.5979 6.7275 0.0000 0.0000 0.0000 11.4307" Properties=species:S:1:pos:R:3 pbc="T T T"
Sm 0.0000 0.0000 0.0000
Sm 2.7989 1.9387 2.8577
Sm 2.7989 -1.9387 8.5730
Sm 5.5979 0.0000 5.7154
Sm 8.3968 1.9387 2.8577
Sm 8.3968 -1.9387 8.5730
Er 5.5979 5.8761 7.1529
Er 2.5942 1.5651 6.6646
Er 3.0037 1.5651 10.4815
Er 5.5979 4.4672 2.4552
Er 5.5979 2.2603 8.1706
Er 2.5942 -1.5651 4.7662
Er 3.0037 -1.5651 0.9492
Er 5.5979 0.8514 1.4376
Er 5.5979 -0.8514 9.9932
Er 8.1920 1.5651 10.4815
Er 8.6016 1.5651 6.6646
Er 5.5979 -2.2603 3.2602
Er 5.5979 -4.4672 8.9755
Er 8.1920 -1.5651 0.9492
Er 8.6016 -1.5651 4.7662
Er 5.5979 -5.8761 4.2778
Th 5.5979 3.8068 10.7710
Th 5.5979 2.9207 5.0557
Th 5.5979 -2.9207 6.3751
Th 5.5979 -3.8068 0.6597
```

Peak list (10 most intense, 10° ≤ 2θ ≤ 90°, most intense first)
2θ 31.36, d = 2.853 Å, intensity 100.0
2θ 31.99, d = 2.798 Å, intensity 66.4
2θ 31.02, d = 2.883 Å, intensity 33.0
2θ 58.01, d = 1.590 Å, intensity 24.7
2θ 26.49, d = 3.365 Å, intensity 23.8
2θ 33.03, d = 2.712 Å, intensity 19.7
2θ 35.00, d = 2.564 Å, intensity 16.8
2θ 35.19, d = 2.550 Å, intensity 16.6
2θ 47.03, d = 1.932 Å, intensity 16.4
2θ 56.60, d = 1.626 Å, intensity 15.7

---

# 2
Diffraction record for LiBeW2. The XRD peak list is computed, not measured: it uses a crystal structure in Alexandria, relaxed with PBE and a wavelength of 1.5418 Å.
Neutral-atom scattering factors, no anomalous dispersion.

Structure:
```
8
Lattice="2.7427 0.0000 0.0000 0.0000 4.3638 0.0000 0.0000 0.0000 8.7056" Properties=species:S:1:pos:R:3 pbc="T T T"
Li 0.0000 0.0000 0.0000
Li 1.3713 2.1819 4.3528
Be 0.0000 2.1819 2.6050
Be 1.3713 0.0000 6.9578
W 0.0000 0.0000 4.9160
W 0.0000 2.1819 6.7025
W 1.3713 0.0000 2.3497
W 1.3713 2.1819 0.5632
```

Peak list (10 most intense, 10° ≤ 2θ ≤ 90°, most intense first)
2θ 44.21, d = 2.049 Å, intensity 100.0
2θ 22.80, d = 3.901 Å, intensity 94.6
2θ 37.21, d = 2.416 Å, intensity 70.5
2θ 34.28, d = 2.616 Å, intensity 62.6
2θ 54.79, d = 1.676 Å, intensity 33.5
2θ 41.38, d = 2.182 Å, intensity 32.7
2θ 41.49, d = 2.176 Å, intensity 23.1
2θ 63.25, d = 1.470 Å, intensity 21.5
2θ 77.44, d = 1.232 Å, intensity 19.6
2θ 78.45, d = 1.219 Å, intensity 19.2

---

# 3
Diffraction record for Sm4C2F5. The XRD peak list is computed, not measured: it uses a crystal structure in Alexandria, relaxed with PBE and a wavelength of 1.5418 Å.
Neutral-atom scattering factors, no anomalous dispersion.

Structure:
```
11
Lattice="-1.7518 3.5197 7.3831 1.7518 -3.5197 7.3831 1.7518 3.5197 -7.3831" Properties=species:S:1:pos:R:3 pbc="T T T"
Sm 0.0000 0.0000 2.9487
Sm 1.7518 1.6551 0.0000
Sm 0.0000 1.8646 7.3831
Sm 0.0000 0.0000 11.8175
C 0.0000 0.0000 0.7121
C 0.0000 0.0000 14.0541
F 1.7518 1.8688 -2.6083
F 1.7518 1.8688 2.6083
F 0.0000 3.5197 0.0000
F 0.0000 1.6509 4.7748
F 0.0000 1.6509 9.9913
```

Peak list (10 most intense, 10° ≤ 2θ ≤ 90°, most intense first)
2θ 36.70, d = 2.449 Å, intensity 100.0
2θ 47.86, d = 1.901 Å, intensity 98.2
2θ 28.09, d = 3.177 Å, intensity 95.2
2θ 31.34, d = 2.854 Å, intensity 66.0
2θ 30.98, d = 2.887 Å, intensity 56.5
2θ 24.11, d = 3.692 Å, intensity 55.0
2θ 22.04, d = 4.034 Å, intensity 39.5
2θ 13.94, d = 6.354 Å, intensity 36.9
2θ 28.46, d = 3.137 Å, intensity 36.7
2θ 32.89, d = 2.723 Å, intensity 28.9

---

# 4
Diffraction record for Al6CuAu12. The XRD peak list is computed, not measured: it uses a crystal structure in Alexandria, relaxed with PBE and a wavelength of 1.5418 Å.
Neutral-atom scattering factors, no anomalous dispersion.

Structure:
```
19
Lattice="5.7553 3.3228 3.0399 -5.7553 3.3228 3.0399 0.0000 -6.6456 3.0399" Properties=species:S:1:pos:R:3 pbc="T T T"
Al -1.5790 -0.3522 1.8862
Al 1.0945 -1.1914 1.8862
Al 0.4845 1.5436 1.8862
Al -0.4845 -1.5436 7.2336
Al -1.0945 1.1914 7.2336
Al 1.5790 0.3522 7.2335
Cu 0.0000 0.0000 4.5599
Au -3.8386 1.4320 2.5115
Au 0.6792 -4.0404 2.5115
Au -2.6261 -0.6915 4.1454
Au -3.1595 -2.6083 6.6082
Au -0.7142 -2.6200 4.9744
Au -1.9119 1.9285 4.9744
Au 1.9119 -1.9285 4.1454
Au 0.7142 2.6200 4.1454
Au 3.1595 2.6084 2.5115
Au 2.6261 0.6915 4.9744
Au -0.6792 4.0404 6.6082
Au 3.8386 -1.4320 6.6082
```

Peak list (10 most intense, 10° ≤ 2θ ≤ 90°, most intense first)
2θ 30.78, d = 2.904 Å, intensity 100.0
2θ 41.51, d = 2.175 Å, intensity 63.6
2θ 38.06, d = 2.364 Å, intensity 36.6
2θ 46.56, d = 1.951 Å, intensity 26.8
2θ 15.40, d = 5.755 Å, intensity 26.2
2θ 44.31, d = 2.044 Å, intensity 22.0
2θ 43.66, d = 2.073 Å, intensity 19.7
2θ 52.56, d = 1.741 Å, intensity 18.6
2θ 21.43, d = 4.147 Å, intensity 18.2
2θ 69.10, d = 1.359 Å, intensity 15.8

---

# 5
Diffraction record for Pr6TeAs3Se2. The XRD peak list is computed, not measured: it uses a crystal structure in Alexandria, relaxed with PBE and a wavelength of 1.5418 Å.
Neutral-atom scattering factors, no anomalous dispersion.

Structure:
```
12
Lattice="9.4885 -2.1602 0.0000 9.4885 2.1602 0.0000 -2.1180 0.0000 8.4571" Properties=species:S:1:pos:R:3 pbc="T T T"
Pr -0.4584 0.0000 1.9641
Pr 5.3010 0.0000 3.5599
Pr 4.4372 0.0000 7.7029
Pr 12.4219 0.0000 0.7543
Pr 11.5581 0.0000 4.8972
Pr 17.3174 0.0000 6.4930
Te 8.4295 0.0000 4.2286
As 2.4315 0.0000 2.8066
As 9.4885 0.0000 0.0000
As 14.4276 0.0000 5.6505
Se 1.4130 0.0000 7.0501
Se 15.4461 0.0000 1.4070
```

Peak list (10 most intense, 10° ≤ 2θ ≤ 90°, most intense first)
2θ 29.10, d = 3.068 Å, intensity 100.0
2θ 41.83, d = 2.160 Å, intensity 37.5
2θ 41.42, d = 2.180 Å, intensity 36.9
2θ 51.77, d = 1.766 Å, intensity 19.8
2θ 68.65, d = 1.367 Å, intensity 16.7
2θ 60.33, d = 1.534 Å, intensity 12.0
2θ 76.11, d = 1.251 Å, intensity 12.0
2θ 68.08, d = 1.377 Å, intensity 10.3
2θ 25.21, d = 3.532 Å, intensity 8.4
2θ 51.07, d = 1.788 Å, intensity 6.2

---

# 6
Diffraction record for ZnCd2Cu. The XRD peak list is computed, not measured: it uses a crystal structure in Alexandria, relaxed with PBE and a wavelength of 1.5418 Å.
Neutral-atom scattering factors, no anomalous dispersion.

Structure:
```
8
Lattice="2.8989 0.0000 0.0000 0.0000 4.6402 0.0000 0.0000 0.0000 10.9424" Properties=species:S:1:pos:R:3 pbc="T T T"
Zn 0.0000 0.0000 0.0000
Zn 1.4494 2.3201 5.4712
Cd 0.0000 0.0000 6.4399
Cd 0.0000 2.3201 8.7270
Cd 1.4494 0.0000 3.2557
Cd 1.4494 2.3201 0.9687
Cu 0.0000 2.3201 3.3773
Cu 1.4494 0.0000 8.8486
```

Peak list (10 most intense, 10° ≤ 2θ ≤ 90°, most intense first)
2θ 40.21, d = 2.243 Å, intensity 100.0
2θ 38.81, d = 2.320 Å, intensity 32.2
2θ 31.19, d = 2.868 Å, intensity 31.0
2θ 32.74, d = 2.736 Å, intensity 27.8
2θ 71.22, d = 1.324 Å, intensity 16.9
2θ 51.66, d = 1.769 Å, intensity 14.6
2θ 52.38, d = 1.747 Å, intensity 10.7
2θ 67.07, d = 1.395 Å, intensity 9.9
2θ 31.94, d = 2.802 Å, intensity 9.2
2θ 80.33, d = 1.195 Å, intensity 8.0

---

# 7
Diffraction record for CoHgTe. The XRD peak list is computed, not measured: it uses a crystal structure in Alexandria, relaxed with PBE and a wavelength of 1.5418 Å.
Neutral-atom scattering factors, no anomalous dispersion.

Structure:
```
3
Lattice="3.5215 0.0000 0.0000 -1.7608 3.0497 0.0000 0.0000 0.0000 6.1306" Properties=species:S:1:pos:R:3 pbc="T T T"
Co 0.0000 0.0000 0.0000
Hg 1.7608 1.0166 1.8592
Te 0.0000 2.0331 4.7440
```

Peak list (10 most intense, 10° ≤ 2θ ≤ 90°, most intense first)
2θ 32.80, d = 2.731 Å, intensity 100.0
2θ 41.78, d = 2.162 Å, intensity 31.8
2θ 51.93, d = 1.761 Å, intensity 23.5
2θ 54.02, d = 1.698 Å, intensity 20.7
2θ 29.13, d = 3.065 Å, intensity 18.5
2θ 60.66, d = 1.527 Å, intensity 16.1
2θ 62.79, d = 1.480 Å, intensity 15.5
2θ 85.77, d = 1.133 Å, intensity 13.5
2θ 29.28, d = 3.050 Å, intensity 10.9
2θ 83.65, d = 1.156 Å, intensity 9.2

---

# 8
Diffraction record for TbPmMn. The XRD peak list is computed, not measured: it uses a crystal structure in Alexandria, relaxed with PBE and a wavelength of 1.5418 Å.
Neutral-atom scattering factors, no anomalous dispersion.

Structure:
```
6
Lattice="3.5445 0.0000 0.0000 0.0000 3.5445 0.0000 0.0000 0.0000 12.8898" Properties=species:S:1:pos:R:3 pbc="T T T"
Tb 0.0000 0.0000 0.0000
Tb 1.7722 1.7722 6.4449
Pm 0.0000 0.0000 9.3762
Pm 1.7722 1.7722 2.9313
Mn 0.0000 0.0000 4.7417
Mn 1.7722 1.7722 11.1867
```

Peak list (10 most intense, 10° ≤ 2θ ≤ 90°, most intense first)
2θ 32.75, d = 2.734 Å, intensity 100.0
2θ 35.83, d = 2.506 Å, intensity 52.4
2θ 26.07, d = 3.418 Å, intensity 37.4
2θ 62.45, d = 1.487 Å, intensity 30.5
2θ 45.87, d = 1.978 Å, intensity 22.8
2θ 27.68, d = 3.222 Å, intensity 22.0
2θ 51.57, d = 1.772 Å, intensity 18.3
2θ 43.40, d = 2.085 Å, intensity 15.7
2θ 56.30, d = 1.634 Å, intensity 12.7
2θ 69.33, d = 1.355 Å, intensity 11.1

---

Which formula does entry 5 have? Pr6TeAs3Se2